(1)
Computed PXRD pattern
Compound: ZnNiSe2O8
Radiation: Cu Kα (λ = 1.5418 Å)
Structure: a cell relaxed with GGA+U
Intensities are scaled so that the largest is 100.

Principal peaks in the range 15 to 90 degrees two-theta, sorted by position:
| (hkl) | 2θ (°) | I/Imax |
| --- | --- | --- |
| 2 0 0 | 25.7 | 100 |
| 2 1 1 | 32.4 | 7 |
| 1 1 2 | 34.9 | 60 |
| 2 2 0 | 36.6 | 16 |
| 3 1 2 | 51.5 | 56 |
| 4 0 0 | 52.8 | 16 |
| 4 2 0 | 59.6 | 11 |
| 3 3 2 | 64.8 | 17 |
| 2 0 4 | 67.6 | 10 |
| 2 2 4 | 73.6 | 9 |
| 5 1 2 | 76.9 | 11 |
| 5 3 2 | 88.3 | 10 |

Cell lengths 6.935, 6.935, 6.046 Å; angles 90.00, 90.00, 90.00 degrees
Space group I-4m2 (No. 119)
One atom of each set of equivalent atoms:
1 Zn 0.000 0.000 0.000
2 Ni 0.000 0.500 0.250
3 Se 0.000 0.000 0.500
4 Se 0.000 0.500 0.750
5 O 0.000 0.184 0.319
6 O 0.000 0.315 0.930

=====

(2)
Computed PXRD pattern
Compound: Li2MoP4O13
Radiation: Cu Kα (λ = 1.5418 Å)
Structure: a cell relaxed with GGA+U
Intensities are scaled so that the largest is 100.

Principal peaks in the range 15 to 90 degrees two-theta, sorted by position:
| (hkl) | 2θ (°) | I/Imax |
| --- | --- | --- |
| 0 1 2 | 18.0 | 58 |
| 1 0 1 | 18.2 | 25 |
| 1 0 -2 | 21.0 | 27 |
| 1 1 0 | 21.6 | 46 |
| 1 1 -2 | 24.4 | 100 |
| 1 -2 1 | 25.7 | 68 |
| 1 0 3 | 26.3 | 32 |
| -1 2 1 | 26.6 | 51 |
| 0 2 2 | 26.9 | 20 |
| 0 2 3 | 31.3 | 24 |
| 1 1 -4 | 32.9 | 32 |
| 2 0 1 | 34.8 | 19 |

Cell lengths 5.375, 8.242, 13.650 Å; angles 95.96, 90.79, 100.03 degrees
Space group P-1 (No. 2)
One atom of each set of equivalent atoms:
1 Li 0.046 0.352 0.023
2 Li 0.249 0.495 0.495
3 Mo 0.393 0.082 0.733
4 P 0.053 0.746 0.365
5 P 0.164 0.092 0.165
6 P 0.230 0.444 0.812
7 P 0.497 0.700 0.687
8 O 0.007 0.622 0.262
9 O 0.034 0.641 0.449
10 O 0.097 0.009 0.818
11 O 0.133 0.480 0.913
12 O 0.147 0.141 0.633
13 O 0.171 0.187 0.078
14 O 0.228 0.226 0.266
15 O 0.318 0.847 0.356
16 O 0.350 0.621 0.778
17 O 0.362 0.976 0.166
18 O 0.363 0.840 0.664
19 O 0.421 0.329 0.801
20 O 0.486 0.428 0.397